The following is a theoretical X-ray powder pattern of Li9Mn2Co5O16. It was derived from a PBE+U-relaxed structure, using copper Kα.
Kinematic intensities with the Lorentz-polarization factor, no thermal factor.

Peak list (8 most intense, 2θ from 15° to 90°, in order of rising 2θ)
hkl 0 1 0, 18.32 deg, I 100; hkl 1 0 -4, 35.01 deg, I 18; hkl 1 0 4, 36.31 deg, I 12; hkl 2 -1 0, 36.47 deg, I 12; hkl 1 1 -4, 42.16 deg, I 31; hkl 1 1 4, 44.11 deg, I 27; hkl 2 -2 0, 44.25 deg, I 26; hkl 2 2 0, 62.66 deg, I 15

Structural model:
Cell lengths 5.0174, 5.0974, 11.8728 Å; angles 91.09, 91.80, 108.12 degrees
Space group P1 (No. 1)
Asymmetric unit:
Li 0.0000 0.0000 0.0000 [1 per cell]
Li 0.0007 0.0046 0.7471 [1 per cell]
Li 0.4954 0.9987 0.1247 [1 per cell]
Li 0.4973 0.0026 0.3806 [1 per cell]
Li 0.4985 0.9984 0.8746 [1 per cell]
Li 0.5003 0.9992 0.6179 [1 per cell]
Li 0.5014 0.5044 0.4972 [1 per cell]
Li 0.9896 0.9957 0.2527 [1 per cell]
Li 0.9946 0.9955 0.5013 [1 per cell]
Mn 0.4933 0.4938 0.2520 [1 per cell]
Mn 0.9977 0.5031 0.8757 [1 per cell]
Co 0.0017 0.5006 0.3805 [1 per cell]
Co 0.0079 0.5090 0.6172 [1 per cell]
Co 0.4962 0.4972 0.9998 [1 per cell]
Co 0.5053 0.5031 0.7460 [1 per cell]
Co 0.9920 0.4914 0.1267 [1 per cell]
O 0.2278 0.2814 0.6282 [1 per cell]
O 0.2327 0.7500 0.4963 [1 per cell]
O 0.2392 0.7161 0.2416 [1 per cell]
O 0.2413 0.7361 0.9941 [1 per cell]
O 0.2490 0.2745 0.1269 [1 per cell]
O 0.2533 0.2746 0.8790 [1 per cell]
O 0.2543 0.2790 0.3613 [1 per cell]
O 0.2605 0.7333 0.7391 [1 per cell]
O 0.7276 0.7083 0.1295 [1 per cell]
O 0.7291 0.2642 0.2546 [1 per cell]
O 0.7418 0.2685 0.7577 [1 per cell]
O 0.7416 0.7272 0.3637 [1 per cell]
O 0.7484 0.7310 0.8780 [1 per cell]
O 0.7551 0.2625 0.0128 [1 per cell]
O 0.7710 0.7192 0.6289 [1 per cell]
O 0.7821 0.2712 0.5033 [1 per cell]

=====

The following is a theoretical X-ray powder pattern of SrNdCr4O12. It was derived from a PBE+U-relaxed structure, using copper Kα.
Kinematic intensities with the Lorentz-polarization factor, no thermal factor.

Peak list (8 most intense, 2θ from 15° to 90°, in order of rising 2θ)
hkl 1 1 1, 20.30 deg, I 100; hkl 0 2 2, 33.10 deg, I 40; hkl 2 0 2, 33.26 deg, I 38; hkl 2 2 0, 33.98 deg, I 38; hkl 1 1 3, 38.50 deg, I 19; hkl 1 3 1, 39.76 deg, I 18; hkl 3 1 1, 40.04 deg, I 18; hkl 0 0 4, 46.42 deg, I 18

Structural model:
Cell lengths 7.4293, 7.4973, 7.8248 Å; angles 90.00, 90.00, 90.00 degrees
Space group Amm2 (No. 38)
Asymmetric unit:
Sr 0.0000 0.0000 0.0000 [2 per cell]
Nd 0.5000 0.0000 0.4836 [2 per cell]
Cr 0.2500 0.2499 0.2333 [8 per cell]
O 0.0000 0.2243 0.7522 [4 per cell]
O 0.2272 0.0000 0.2775 [4 per cell]
O 0.2584 0.2339 0.0077 [8 per cell]
O 0.2824 0.0000 0.7267 [4 per cell]
O 0.5000 0.2206 0.2611 [4 per cell]

=====

The following is a theoretical X-ray powder pattern of Na2Ni2O5. It was derived from a PBE+U-relaxed structure, using copper Kα.
Kinematic intensities with the Lorentz-polarization factor, no thermal factor.

Peak list (8 most intense, 2θ from 15° to 90°, in order of rising 2θ)
hkl 0 1 -1, 16.22 deg, I 100; hkl 0 2 -2, 32.79 deg, I 13; hkl -1 1 2, 36.50 deg, I 12; hkl -1 2 1, 37.46 deg, I 13; hkl 1 2 0, 42.26 deg, I 49; hkl 1 0 -3, 42.69 deg, I 24; hkl 1 -4 1, 57.73 deg, I 7; hkl 1 -2 4, 58.05 deg, I 7

Structural model:
Cell lengths 4.9628, 6.4454, 6.9921 Å; angles 110.72, 95.78, 105.70 degrees
Space group P1 (No. 1)
Asymmetric unit:
Na 0.0000 0.0000 0.0000 [1 per cell]
Na 0.1348 0.3902 0.4107 [1 per cell]
Na 0.3532 0.2832 0.8069 [1 per cell]
Na 0.7165 0.5853 0.6036 [1 per cell]
Ni 0.1510 0.8880 0.3958 [1 per cell]
Ni 0.5549 0.6965 0.2006 [1 per cell]
Ni 0.7491 0.0895 0.5967 [1 per cell]
Ni 0.9554 0.4934 0.0008 [1 per cell]
O 0.0185 0.9457 0.6442 [1 per cell]
O 0.2502 0.7975 0.1269 [1 per cell]
O 0.2562 0.4118 0.1106 [1 per cell]
O 0.4462 0.1769 0.4925 [1 per cell]
O 0.4545 0.7835 0.4706 [1 per cell]
O 0.6821 0.6325 0.9496 [1 per cell]
O 0.7166 0.1767 0.8767 [1 per cell]
O 0.8541 0.9988 0.3244 [1 per cell]
O 0.8558 0.5850 0.2716 [1 per cell]
O 0.9972 0.4029 0.7185 [1 per cell]